Nd8P3Se4N: theoretical powder diffractogram (Cu Kα, 1.54184 Å), based on a GGA-PBE-relaxed structure.
Neutral-atom scattering factors, no anomalous dispersion.

```
16
Lattice="4.1004 2.3674 6.9229 -4.1004 2.3674 6.9229 0.0000 -4.7347 6.9229" Properties=species:S:1:pos:R:3 pbc="T T T"
Nd 0.0000 0.0000 5.0602
Nd -1.9383 -1.1191 11.8984
Nd 0.0000 -2.2382 8.8703
Nd -1.9383 1.1191 8.8703
Nd 1.9383 -1.1191 11.8984
Nd 0.0000 2.2382 11.8984
Nd 1.9383 1.1191 8.8703
Nd 0.0000 0.0000 15.7085
P -4.1004 0.0000 10.3844
P -2.0502 1.1837 3.4614
P 2.0502 1.1837 3.4615
Se 0.0000 0.0000 0.0000
Se -2.0502 -1.1837 6.9229
Se -2.0502 1.1837 13.8458
Se 0.0000 2.3674 6.9229
N 0.0000 0.0000 10.3844
```

Top 10 peaks for 2θ = 5–70°, in order of rising 2θ:
two_theta, intensity
25.74, 9
26.53, 30
30.50, 100
33.19, 10
43.17, 33
44.17, 36
51.83, 8
54.63, 18
60.40, 7
63.47, 10

---

TmMg4Ga2: theoretical powder diffractogram (Cu Kα, 1.54184 Å), based on a GGA-PBE-relaxed structure.
Neutral-atom scattering factors, no anomalous dispersion.

```
7
Lattice="2.1559 -8.2267 0.0000 2.1559 8.2267 0.0000 0.0000 0.0000 4.2654" Properties=species:S:1:pos:R:3 pbc="T T T"
Tm 0.0000 0.0000 0.0000
Mg 2.1559 5.3277 2.1327
Mg 2.1559 2.9348 0.0000
Mg 2.1559 -2.9348 0.0000
Mg 2.1559 -5.3277 2.1327
Ga 2.1559 1.2073 2.1327
Ga 2.1559 -1.2073 2.1327
```

Top 10 peaks for 2θ = 5–70°, in order of rising 2θ:
two_theta, intensity
10.75, 100
29.96, 68
30.18, 23
33.78, 67
34.28, 26
39.05, 24
41.90, 18
42.38, 18
43.87, 26
58.61, 14

---

Pu2UAs3: theoretical powder diffractogram (Cu Kα, 1.54184 Å), based on a GGA-PBE-relaxed structure.
Neutral-atom scattering factors, no anomalous dispersion.

```
6
Lattice="4.1449 0.0000 0.0000 0.0000 4.1449 0.0000 0.0000 0.0000 7.9664" Properties=species:S:1:pos:R:3 pbc="T T T"
Pu 0.0000 2.0724 1.4558
Pu 2.0724 0.0000 6.5105
U 0.0000 0.0000 3.9832
As 0.0000 2.0724 6.5189
As 2.0724 0.0000 1.4475
As 2.0724 2.0724 3.9832
```

Top 10 peaks for 2θ = 5–70°, in order of rising 2θ:
two_theta, intensity
24.21, 63
31.14, 25
32.55, 93
33.75, 55
38.12, 100
43.68, 57
50.56, 19
56.31, 52
63.48, 19
66.83, 27

---

Question: What is the formula in the third record?
Answer: Pu2UAs3